The following is a computed X-ray powder pattern of Ho2MgNpN4. It was derived from a PBE-relaxed structure, using copper Kα.
Peak positions follow from Bragg's law for the DFT cell and can differ from measured ones.

Largest 10 diffraction maxima, sorted by position, 5° ≤ 2θ ≤ 70°:
| hkl | two_theta | intensity |
| --- | --- | --- |
| 1 0 0 | 16.17 | 40 |
| 1 0 -1 | 18.97 | 27 |
| 0 0 2 | 32.25 | 50 |
| 1 1 -1 | 32.37 | 99 |
| 2 0 0 | 32.67 | 48 |
| 1 1 1 | 37.15 | 100 |
| 2 0 -2 | 38.49 | 45 |
| 1 1 -3 | 54.29 | 33 |
| 3 1 -1 | 54.85 | 32 |
| 1 1 3 | 63.81 | 31 |

Cell and atoms:
Lattice parameters (Å, degrees): 5.7549 3.4300 5.8291 90.00 107.73 90.00
Space group P2/m (No. 10)
One atom of each set of equivalent atoms:
Ho  0.0000  0.0000  0.0000 (multiplicity 1)
Ho  0.5000  0.5000  0.0000 (multiplicity 1)
Mg  0.0000  0.5000  0.5000 (multiplicity 1)
Np  0.5000  0.0000  0.5000 (multiplicity 1)
N  0.2500  0.5000  0.2557 (multiplicity 2)
N  0.2657  0.0000  0.7379 (multiplicity 2)